Entry 1:
SmNi2Sb2: computed PXRD pattern (CuKα), based on DFT lattice parameters and positions (PBE).

Cell and atoms:
abc: 4.442 4.442 10.049
angles: 90.00 90.00 90.00
Fractional positions:
1 Sm 0.250 0.250 0.239
2 Sm 0.750 0.750 0.761
3 Ni 0.250 0.250 0.624
4 Ni 0.250 0.750 0.000
5 Ni 0.750 0.250 0.000
6 Ni 0.750 0.750 0.376
7 Sb 0.250 0.250 0.874
8 Sb 0.250 0.750 0.500
9 Sb 0.750 0.250 0.500
10 Sb 0.750 0.750 0.126

Most intense lines, 5° ≤ 2θ ≤ 70°, low angle first:
- 28.42 deg, rel. 15
- 33.51 deg, rel. 69
- 33.65 deg, rel. 100
- 40.62 deg, rel. 72
- 46.28 deg, rel. 18
- 49.80 deg, rel. 22
- 53.64 deg, rel. 35
- 58.80 deg, rel. 23
- 66.14 deg, rel. 18
- 69.47 deg, rel. 32

=====

Entry 2:
Rb4Zr3Te16: computed PXRD pattern (CuKα), based on DFT lattice parameters and positions (PBE).

Cell and atoms:
abc: 11.360 11.360 15.655
angles: 96.80 96.80 115.31
Fractional positions:
1 Rb 0.049 0.751 0.568
2 Rb 0.249 0.951 0.932
3 Rb 0.253 0.529 0.125
4 Rb 0.471 0.747 0.375
5 Rb 0.529 0.253 0.625
6 Rb 0.747 0.471 0.875
7 Rb 0.751 0.049 0.068
8 Rb 0.951 0.249 0.432
9 Zr 0.068 0.292 0.771
10 Zr 0.292 0.068 0.271
11 Zr 0.392 0.608 0.750
12 Zr 0.608 0.392 0.250
13 Zr 0.708 0.932 0.729
14 Zr 0.932 0.708 0.229
15 Te 0.027 0.672 0.063
16 Te 0.048 0.924 0.127
17 Te 0.076 0.952 0.373
18 Te 0.093 0.619 0.338
19 Te 0.125 0.578 0.785
20 Te 0.148 0.234 0.244
21 Te 0.234 0.148 0.744
22 Te 0.252 0.347 0.631
23 Te 0.302 0.594 0.560
24 Te 0.328 0.973 0.437
25 Te 0.345 0.417 0.872
26 Te 0.347 0.252 0.131
27 Te 0.381 0.907 0.162
28 Te 0.406 0.698 0.940
29 Te 0.417 0.345 0.372
30 Te 0.422 0.875 0.715
31 Te 0.578 0.125 0.285
32 Te 0.583 0.655 0.628
33 Te 0.594 0.302 0.060
34 Te 0.619 0.093 0.838
35 Te 0.653 0.748 0.869
36 Te 0.655 0.583 0.128
37 Te 0.672 0.027 0.563
38 Te 0.698 0.406 0.440
39 Te 0.748 0.653 0.369
40 Te 0.766 0.852 0.256
41 Te 0.852 0.766 0.756
42 Te 0.875 0.422 0.215
43 Te 0.907 0.381 0.662
44 Te 0.924 0.048 0.627
45 Te 0.952 0.076 0.873
46 Te 0.973 0.328 0.937

Most intense lines, 5° ≤ 2θ ≤ 70°, low angle first:
- 10.89 deg, rel. 100
- 11.59 deg, rel. 28
- 24.79 deg, rel. 37
- 25.08 deg, rel. 41
- 26.51 deg, rel. 27
- 28.04 deg, rel. 36
- 29.09 deg, rel. 44
- 32.14 deg, rel. 54
- 33.07 deg, rel. 21
- 34.83 deg, rel. 21

=====

Entry 3:
BaNdEuNbO6: computed PXRD pattern (CuKα), based on DFT lattice parameters and positions (PBE).

Cell and atoms:
abc: 6.052 6.111 8.601
angles: 90.50 90.37 90.29
Fractional positions:
1 Ba 0.008 0.032 0.250
2 Ba 0.992 0.968 0.750
3 Nd 0.000 0.500 0.500
4 Nd 0.500 0.000 0.000
5 Eu 0.492 0.540 0.252
6 Eu 0.508 0.460 0.748
7 Nb 0.000 0.500 0.000
8 Nb 0.500 0.000 0.500
9 O 0.091 0.511 0.770
10 O 0.195 0.767 0.042
11 O 0.234 0.802 0.461
12 O 0.273 0.311 0.046
13 O 0.314 0.276 0.456
14 O 0.430 0.029 0.731
15 O 0.570 0.971 0.269
16 O 0.686 0.724 0.544
17 O 0.727 0.689 0.954
18 O 0.766 0.198 0.539
19 O 0.805 0.233 0.958
20 O 0.909 0.489 0.230

Most intense lines, 5° ≤ 2θ ≤ 70°, low angle first:
- 29.26 deg, rel. 100
- 29.36 deg, rel. 34
- 29.55 deg, rel. 66
- 41.91 deg, rel. 17
- 42.02 deg, rel. 18
- 42.14 deg, rel. 17
- 51.75 deg, rel. 19
- 52.00 deg, rel. 13
- 52.17 deg, rel. 21
- 52.26 deg, rel. 15

=====

Entry 4:
Li3CaMnN3: computed PXRD pattern (CuKα), based on DFT lattice parameters and positions (PBE).

Cell and atoms:
abc: 7.041 7.041 7.041
angles: 48.23 48.23 48.23
Fractional positions:
1 Li 0.021 0.605 0.260
2 Li 0.260 0.021 0.605
3 Li 0.395 0.740 0.979
4 Li 0.605 0.260 0.021
5 Li 0.740 0.979 0.395
6 Li 0.979 0.395 0.740
7 Ca 0.163 0.163 0.163
8 Ca 0.837 0.837 0.837
9 Mn 0.435 0.435 0.435
10 Mn 0.565 0.565 0.565
11 N 0.117 0.716 0.408
12 N 0.284 0.592 0.883
13 N 0.408 0.117 0.716
14 N 0.592 0.883 0.284
15 N 0.716 0.408 0.117
16 N 0.883 0.284 0.592

Most intense lines, 5° ≤ 2θ ≤ 70°, low angle first:
- 14.27 deg, rel. 63
- 18.43 deg, rel. 53
- 26.20 deg, rel. 18
- 29.95 deg, rel. 27
- 31.09 deg, rel. 65
- 34.36 deg, rel. 100
- 38.35 deg, rel. 53
- 42.88 deg, rel. 30
- 55.32 deg, rel. 42
- 60.21 deg, rel. 20

=====

Entry 5:
Ba6Nd2YCu12O24: computed PXRD pattern (CuKα), based on DFT lattice parameters and positions (PBE).

Cell and atoms:
abc: 41.450 41.450 3.941
angles: 90.00 90.00 174.59
Fractional positions:
1 Ba 0.045 0.955 0.000
2 Ba 0.288 0.712 0.000
3 Ba 0.379 0.621 0.000
4 Ba 0.621 0.379 0.000
5 Ba 0.712 0.288 0.000
6 Ba 0.955 0.045 0.000
7 Nd 0.333 0.667 0.000
8 Nd 0.667 0.333 0.000
9 Y 0.000 0.000 0.000
10 Cu 0.096 0.904 0.500
11 Cu 0.145 0.855 0.500
12 Cu 0.188 0.812 0.500
13 Cu 0.238 0.762 0.500
14 Cu 0.429 0.571 0.500
15 Cu 0.479 0.521 0.500
16 Cu 0.521 0.479 0.500
17 Cu 0.571 0.429 0.500
18 Cu 0.762 0.238 0.500
19 Cu 0.812 0.188 0.500
20 Cu 0.855 0.145 0.500
21 Cu 0.904 0.096 0.500
22 O 0.017 0.983 0.500
23 O 0.073 0.927 0.500
24 O 0.118 0.882 0.500
25 O 0.148 0.852 0.000
26 O 0.185 0.815 0.000
27 O 0.215 0.785 0.500
28 O 0.260 0.740 0.500
29 O 0.315 0.685 0.500
30 O 0.352 0.648 0.500
31 O 0.406 0.594 0.500
32 O 0.452 0.548 0.500
33 O 0.482 0.518 0.000
34 O 0.518 0.482 0.000
35 O 0.548 0.452 0.500
36 O 0.594 0.406 0.500
37 O 0.648 0.352 0.500
38 O 0.685 0.315 0.500
39 O 0.740 0.260 0.500
40 O 0.785 0.215 0.500
41 O 0.815 0.185 0.000
42 O 0.852 0.148 0.000
43 O 0.882 0.118 0.500
44 O 0.927 0.073 0.500
45 O 0.983 0.017 0.500

Most intense lines, 5° ≤ 2θ ≤ 70°, low angle first:
- 6.40 deg, rel. 33
- 29.85 deg, rel. 44
- 32.24 deg, rel. 100
- 32.41 deg, rel. 99
- 34.55 deg, rel. 63
- 46.05 deg, rel. 56
- 46.43 deg, rel. 32
- 57.33 deg, rel. 39
- 60.35 deg, rel. 29
- 67.46 deg, rel. 33

=====

Entry 6:
HoTmAl2: computed PXRD pattern (CuKα), based on DFT lattice parameters and positions (PBE).

Cell and atoms:
abc: 7.120 7.120 7.120
angles: 90.00 90.00 90.00
Fractional positions:
1 Ho 0.000 0.000 0.000
2 Ho 0.000 0.500 0.500
3 Ho 0.500 0.000 0.500
4 Ho 0.500 0.500 0.000
5 Tm 0.000 0.000 0.500
6 Tm 0.000 0.500 0.000
7 Tm 0.500 0.000 0.000
8 Tm 0.500 0.500 0.500
9 Al 0.250 0.250 0.250
10 Al 0.250 0.250 0.750
11 Al 0.250 0.750 0.250
12 Al 0.250 0.750 0.750
13 Al 0.750 0.250 0.250
14 Al 0.750 0.250 0.750
15 Al 0.750 0.750 0.250
16 Al 0.750 0.750 0.750

Most intense lines, 5° ≤ 2θ ≤ 70°, low angle first:
- 25.01 deg, rel. 64
- 35.67 deg, rel. 100
- 44.06 deg, rel. 19
- 51.33 deg, rel. 18
- 57.93 deg, rel. 26
- 64.07 deg, rel. 36

=====

Entry 7:
BiS2: computed PXRD pattern (CuKα), based on DFT lattice parameters and positions (PBE).

Cell and atoms:
abc: 8.241 8.241 11.627
angles: 126.01 126.01 28.68
Fractional positions:
1 Bi 0.107 0.107 0.388
2 Bi 0.203 0.203 0.102
3 Bi 0.797 0.797 0.898
4 Bi 0.893 0.893 0.612
5 S 0.157 0.157 0.842
6 S 0.288 0.288 0.651
7 S 0.424 0.424 0.466
8 S 0.464 0.464 0.050
9 S 0.536 0.536 0.950
10 S 0.576 0.576 0.534
11 S 0.712 0.712 0.349
12 S 0.843 0.843 0.158

Most intense lines, 5° ≤ 2θ ≤ 70°, low angle first:
- 21.26 deg, rel. 59
- 22.38 deg, rel. 24
- 22.88 deg, rel. 26
- 23.20 deg, rel. 55
- 26.48 deg, rel. 31
- 28.31 deg, rel. 100
- 30.43 deg, rel. 41
- 33.60 deg, rel. 42
- 37.65 deg, rel. 27
- 44.38 deg, rel. 25